Starting from a PBE-relaxed structure, the X-ray powder pattern of LiBiP2O7 was simulated for Cu Kα (λ = 1.5418 Å).

Cell and atoms:
Cell: 4.976 8.806 7.020 Å, 90.00 102.45 90.00°
Fractional coordinates of all 22 atoms:
Li 0.101 0.000 0.287
Li 0.899 0.500 0.713
Bi 0.073 0.893 0.749
Bi 0.927 0.393 0.251
P 0.362 0.203 0.010
P 0.372 0.301 0.592
P 0.628 0.801 0.408
P 0.638 0.703 0.990
O 0.209 0.450 0.588
O 0.211 0.204 0.416
O 0.221 0.055 0.044
O 0.225 0.352 0.059
O 0.325 0.819 0.399
O 0.326 0.197 0.775
O 0.327 0.705 0.900
O 0.673 0.205 0.100
O 0.674 0.697 0.225
O 0.675 0.319 0.601
O 0.775 0.852 0.941
O 0.779 0.555 0.956
O 0.789 0.704 0.584
O 0.791 0.950 0.412

Top 12 peaks for 10° ≤ 2θ ≤ 80°, by angle:
d_spacing	2θ/deg	intensity
5.409	16.39	100
4.859	18.26	23
4.403	20.17	45
3.965	22.42	71
3.343	26.67	38
3.263	27.34	45
3.136	28.46	20
2.701	33.16	55
2.554	35.13	24
2.210	40.82	36
2.151	42.00	24
1.803	50.64	18

=====

Starting from a PBE-relaxed structure, the X-ray powder pattern of Li3BiP2O8 was simulated for Cu Kα (λ = 1.5418 Å).

Cell and atoms:
Cell: 5.204 5.204 15.144 Å, 96.56 96.56 54.37°
Fractional coordinates of all 28 atoms:
Li 0.049 0.951 0.750
Li 0.294 0.354 0.320
Li 0.354 0.294 0.820
Li 0.646 0.706 0.180
Li 0.706 0.646 0.680
Li 0.951 0.049 0.250
Bi 0.000 0.000 0.000
Bi 0.000 0.000 0.500
P 0.312 0.376 0.126
P 0.376 0.312 0.626
P 0.624 0.688 0.374
P 0.688 0.624 0.874
O 0.005 0.384 0.107
O 0.165 0.511 0.705
O 0.212 0.726 0.148
O 0.253 0.493 0.541
O 0.274 0.788 0.352
O 0.384 0.005 0.607
O 0.489 0.835 0.795
O 0.493 0.253 0.041
O 0.507 0.747 0.959
O 0.511 0.165 0.205
O 0.616 0.995 0.393
O 0.726 0.212 0.648
O 0.747 0.507 0.459
O 0.788 0.274 0.852
O 0.835 0.489 0.295
O 0.995 0.616 0.893

Top 12 peaks for 10° ≤ 2θ ≤ 80°, by angle:
d_spacing	2θ/deg	intensity
7.509	11.78	100
4.591	19.33	26
4.223	21.04	34
3.777	23.55	88
3.711	23.98	45
3.591	24.79	15
3.109	28.72	20
2.892	30.92	36
2.727	32.84	23
2.574	34.86	41
2.519	35.64	25
2.267	39.76	15

=====

Copy entry 1 word for word.
Starting from a PBE-relaxed structure, the X-ray powder pattern of LiBiP2O7 was simulated for Cu Kα (λ = 1.5418 Å).

Cell and atoms:
Cell: 4.976 8.806 7.020 Å, 90.00 102.45 90.00°
Fractional coordinates of all 22 atoms:
Li 0.101 0.000 0.287
Li 0.899 0.500 0.713
Bi 0.073 0.893 0.749
Bi 0.927 0.393 0.251
P 0.362 0.203 0.010
P 0.372 0.301 0.592
P 0.628 0.801 0.408
P 0.638 0.703 0.990
O 0.209 0.450 0.588
O 0.211 0.204 0.416
O 0.221 0.055 0.044
O 0.225 0.352 0.059
O 0.325 0.819 0.399
O 0.326 0.197 0.775
O 0.327 0.705 0.900
O 0.673 0.205 0.100
O 0.674 0.697 0.225
O 0.675 0.319 0.601
O 0.775 0.852 0.941
O 0.779 0.555 0.956
O 0.789 0.704 0.584
O 0.791 0.950 0.412

Top 12 peaks for 10° ≤ 2θ ≤ 80°, by angle:
d_spacing	2θ/deg	intensity
5.409	16.39	100
4.859	18.26	23
4.403	20.17	45
3.965	22.42	71
3.343	26.67	38
3.263	27.34	45
3.136	28.46	20
2.701	33.16	55
2.554	35.13	24
2.210	40.82	36
2.151	42.00	24
1.803	50.64	18